Record 1
Structure and computed PXRD pattern of Ba4Ti11O26 (a crystal structure in the Materials Project, relaxed with GGA-PBE; Cu Kα).
Intensities are scaled so that the largest is 100.

Main lines, in order of rising 2θ (2θ = 5–70°):
- 16.1°, rel. 37
- 19.4°, rel. 59
- 23.9°, rel. 30
- 28.7°, rel. 64
- 29.5°, rel. 78
- 30.0°, rel. 61
- 31.2°, rel. 100
- 43.0°, rel. 85
- 46.3°, rel. 49
- 65.0°, rel. 41

Cell and atoms:
Lattice parameters (Å, degrees): 7.846 7.978 10.039 91.87 112.98 104.19
Fractional coordinates of all 41 atoms:
Ba 0.000 0.000 0.000
Ba 0.166 0.799 0.438
Ba 0.515 0.996 0.000
Ba 0.686 0.799 0.438
Ti 0.042 0.561 0.791
Ti 0.157 0.243 0.674
Ti 0.237 0.662 0.128
Ti 0.344 0.431 0.463
Ti 0.373 0.401 0.010
Ti 0.455 0.145 0.325
Ti 0.550 0.571 0.798
Ti 0.652 0.241 0.671
Ti 0.844 0.426 0.457
Ti 0.853 0.403 0.010
Ti 0.955 0.142 0.323
O 0.034 0.055 0.528
O 0.095 0.390 0.476
O 0.106 0.425 0.985
O 0.163 0.758 0.932
O 0.221 0.163 0.848
O 0.226 0.180 0.342
O 0.284 0.501 0.804
O 0.308 0.569 0.316
O 0.348 0.907 0.228
O 0.393 0.243 0.144
O 0.410 0.302 0.653
O 0.459 0.621 0.115
O 0.470 0.633 0.604
O 0.533 0.051 0.522
O 0.586 0.380 0.469
O 0.593 0.411 0.966
O 0.650 0.780 0.893
O 0.722 0.165 0.845
O 0.722 0.180 0.342
O 0.785 0.502 0.802
O 0.815 0.567 0.331
O 0.858 0.928 0.236
O 0.889 0.249 0.142
O 0.917 0.308 0.664
O 0.975 0.643 0.616
O 0.983 0.624 0.115

---

Record 2
Structure and computed PXRD pattern of BaTi8O16 (a crystal structure in the Materials Project, relaxed with GGA-PBE; Cu Kα).
Intensities are scaled so that the largest is 100.

Main lines, in order of rising 2θ (2θ = 5–70°):
- 16.1°, rel. 68
- 27.1°, rel. 50
- 27.4°, rel. 85
- 27.9°, rel. 84
- 28.2°, rel. 39
- 36.0°, rel. 100
- 39.9°, rel. 55
- 40.5°, rel. 51
- 48.3°, rel. 42
- 57.3°, rel. 42

Cell and atoms:
Lattice parameters (Å, degrees): 10.472 10.472 14.321 131.24 131.24 33.05
Fractional coordinates of all 50 atoms:
Ba 0.000 0.000 0.000
Ba 0.749 0.251 0.500
Ti 0.071 0.115 0.341
Ti 0.140 0.682 0.172
Ti 0.224 0.263 0.150
Ti 0.245 0.289 0.856
Ti 0.318 0.860 0.828
Ti 0.391 0.430 0.671
Ti 0.463 0.003 0.645
Ti 0.485 0.029 0.351
Ti 0.570 0.609 0.329
Ti 0.638 0.177 0.158
Ti 0.711 0.755 0.144
Ti 0.737 0.776 0.850
Ti 0.823 0.362 0.842
Ti 0.885 0.929 0.659
Ti 0.971 0.515 0.649
Ti 0.997 0.537 0.355
O 0.003 0.053 0.704
O 0.029 0.582 0.152
O 0.048 0.599 0.841
O 0.092 0.625 0.541
O 0.122 0.155 0.960
O 0.153 0.203 0.660
O 0.166 0.218 0.344
O 0.197 0.746 0.793
O 0.254 0.803 0.207
O 0.290 0.322 0.652
O 0.308 0.339 0.341
O 0.332 0.384 0.041
O 0.375 0.908 0.459
O 0.401 0.952 0.159
O 0.418 0.971 0.848
O 0.455 0.488 0.293
O 0.512 0.545 0.707
O 0.542 0.075 0.156
O 0.554 0.088 0.840
O 0.588 0.136 0.540
O 0.616 0.668 0.959
O 0.661 0.692 0.659
O 0.678 0.710 0.348
O 0.707 0.238 0.796
O 0.762 0.293 0.204
O 0.782 0.834 0.656
O 0.797 0.847 0.340
O 0.845 0.878 0.040
O 0.864 0.412 0.460
O 0.912 0.446 0.160
O 0.925 0.458 0.844
O 0.947 0.997 0.296

---

Record 3
Structure and computed PXRD pattern of Ba2Ti11O24 (a crystal structure in the Materials Project, relaxed with GGA-PBE; Cu Kα).
Intensities are scaled so that the largest is 100.

Main lines, in order of rising 2θ (2θ = 5–70°):
- 20.7°, rel. 28
- 21.8°, rel. 24
- 24.6°, rel. 34
- 26.2°, rel. 20
- 27.6°, rel. 83
- 27.8°, rel. 100
- 35.8°, rel. 28
- 39.4°, rel. 23
- 40.2°, rel. 31
- 54.0°, rel. 37

Cell and atoms:
Lattice parameters (Å, degrees): 7.329 7.406 8.977 78.10 77.91 87.55
Fractional coordinates of all 37 atoms:
Ba 0.000 0.000 0.000
Ba 0.015 0.006 0.439
Ti 0.209 0.534 0.760
Ti 0.211 0.526 0.426
Ti 0.216 0.518 0.097
Ti 0.497 0.170 0.946
Ti 0.498 0.186 0.604
Ti 0.512 0.167 0.266
Ti 0.541 0.818 0.480
Ti 0.545 0.822 0.836
Ti 0.828 0.497 0.324
Ti 0.830 0.496 0.003
Ti 0.841 0.469 0.668
O 0.061 0.645 0.931
O 0.062 0.646 0.602
O 0.067 0.648 0.265
O 0.306 0.377 0.605
O 0.308 0.380 0.932
O 0.317 0.386 0.271
O 0.362 0.076 0.149
O 0.369 0.053 0.818
O 0.373 0.055 0.476
O 0.377 0.710 0.014
O 0.378 0.716 0.389
O 0.395 0.714 0.698
O 0.634 0.304 0.724
O 0.640 0.304 0.400
O 0.650 0.291 0.059
O 0.656 0.962 0.615
O 0.672 0.975 0.923
O 0.686 0.976 0.297
O 0.725 0.626 0.826
O 0.731 0.634 0.491
O 0.734 0.627 0.157
O 0.969 0.358 0.829
O 0.970 0.356 0.165
O 0.970 0.360 0.498

---

Record 4
Structure and computed PXRD pattern of BaTi2O5 (a crystal structure in the Materials Project, relaxed with GGA-PBE; Cu Kα).
Intensities are scaled so that the largest is 100.

Main lines, in order of rising 2θ (2θ = 5–70°):
- 23.4°, rel. 41
- 25.7°, rel. 45
- 26.7°, rel. 37
- 28.3°, rel. 56
- 29.1°, rel. 100
- 29.4°, rel. 93
- 30.2°, rel. 51
- 40.9°, rel. 45
- 46.0°, rel. 42
- 52.9°, rel. 35

Cell and atoms:
Lattice parameters (Å, degrees): 10.523 3.945 11.009 90.00 90.00 90.00
Fractional coordinates of all 32 atoms:
Ba 0.051 0.250 0.178
Ba 0.449 0.750 0.678
Ba 0.551 0.250 0.322
Ba 0.949 0.750 0.822
Ti 0.148 0.250 0.593
Ti 0.236 0.750 0.398
Ti 0.264 0.250 0.898
Ti 0.352 0.750 0.093
Ti 0.648 0.250 0.907
Ti 0.736 0.750 0.102
Ti 0.764 0.250 0.602
Ti 0.852 0.750 0.407
O 0.007 0.750 0.350
O 0.100 0.250 0.924
O 0.175 0.750 0.569
O 0.199 0.250 0.417
O 0.234 0.750 0.221
O 0.266 0.250 0.721
O 0.301 0.750 0.917
O 0.325 0.250 0.069
O 0.400 0.750 0.424
O 0.493 0.250 0.850
O 0.507 0.750 0.150
O 0.600 0.250 0.576
O 0.675 0.750 0.931
O 0.699 0.250 0.083
O 0.734 0.750 0.279
O 0.766 0.250 0.779
O 0.801 0.750 0.583
O 0.825 0.250 0.431
O 0.900 0.750 0.076
O 0.993 0.250 0.650